1.
Computed powder diffraction line list of Pu5Ru3 for λ = 1.5418 Å (Cu Kα), from a crystal structure in Alexandria, relaxed with PBE.

Largest 6 diffraction maxima, by angle, 2θ from 15° to 90°:
2.398 Å, 37.5 deg, I 51, hkl 2 0 0; 2.383 Å, 37.7 deg, I 100, hkl 1 1 4; 1.696 Å, 54.1 deg, I 18, hkl 2 2 0; 1.382 Å, 67.8 deg, I 37, hkl 3 1 4; 1.373 Å, 68.3 deg, I 18, hkl 2 0 8; 1.192 Å, 80.6 deg, I 12, hkl 2 2 8

abc: 4.7959 4.7959 13.3983
angles: 90.00 90.00 90.00
Space group I4/mmm (No. 139)
Unique sites:
Pu 0.0000 0.0000 0.0000 [2 per cell]
Pu 0.0000 0.5000 0.1274 [8 per cell]
Ru 0.0000 0.0000 0.2509 [4 per cell]
Ru 0.0000 0.0000 0.5000 [2 per cell]

***

2.
Computed powder diffraction line list of Pu6SbRu5 for λ = 1.5418 Å (Cu Kα), from a crystal structure in Alexandria, relaxed with PBE.

Largest 6 diffraction maxima, by angle, 2θ from 15° to 90°:
2.535 Å, 35.4 deg, I 100, hkl 1 2 -1; 2.464 Å, 36.5 deg, I 77, hkl -1 2 1; 2.444 Å, 36.8 deg, I 97, hkl 0 0 3; 2.417 Å, 37.2 deg, I 58, hkl 2 0 1; 2.354 Å, 38.2 deg, I 89, hkl 1 2 2; 2.118 Å, 42.7 deg, I 53, hkl 1 -2 2

abc: 5.0054 6.4848 7.3780
angles: 85.82 84.69 85.00
Space group P-1 (No. 2)
Unique sites:
Pu 0.0335 0.2281 0.0107 [2 per cell]
Pu 0.2581 0.2609 0.3474 [2 per cell]
Pu 0.2778 0.7673 0.3294 [2 per cell]
Sb 0.5000 0.5000 0.0000 [1 per cell]
Ru 0.2381 0.0011 0.6514 [2 per cell]
Ru 0.2448 0.5010 0.6493 [2 per cell]
Ru 0.5000 0.0000 0.0000 [1 per cell]

***

3.
Computed powder diffraction line list of PuSb12Ru4 for λ = 1.5418 Å (Cu Kα), from a crystal structure in Alexandria, relaxed with PBE.

Largest 6 diffraction maxima, by angle, 2θ from 15° to 90°:
2.963 Å, 30.2 deg, I 100, hkl 3 0 1; 2.504 Å, 35.9 deg, I 55, hkl 3 1 2; 1.913 Å, 47.5 deg, I 36, hkl 4 2 2; 1.838 Å, 49.6 deg, I 30, hkl 4 3 1; 1.381 Å, 67.8 deg, I 18, hkl 6 1 3; 1.104 Å, 88.6 deg, I 17, hkl 6 6 0

abc: 9.3696 9.3696 9.3696
angles: 90.00 90.00 90.00
Space group Im-3 (No. 204)
Unique sites:
Pu 0.0000 0.0000 0.0000 [2 per cell]
Sb 0.0000 0.3385 0.1577 [24 per cell]
Ru 0.2500 0.2500 0.2500 [8 per cell]

***

4.
Computed powder diffraction line list of Pu6Sb10Ru for λ = 1.5418 Å (Cu Kα), from a crystal structure in Alexandria, relaxed with PBE.

Largest 6 diffraction maxima, by angle, 2θ from 15° to 90°:
3.639 Å, 24.5 deg, I 38, hkl 1 1 1; 3.044 Å, 29.3 deg, I 24, hkl 0 0 2; 2.670 Å, 33.6 deg, I 100, hkl 3 -1 1; 2.620 Å, 34.2 deg, I 63, hkl 3 0 0; 2.528 Å, 35.5 deg, I 80, hkl 1 1 2; 2.052 Å, 44.1 deg, I 26, hkl 3 1 1

abc: 9.0756 9.0756 6.0889
angles: 90.00 90.00 120.00
Space group P-31m (No. 162)
Unique sites:
Pu 0.0000 0.3862 0.2549 [6 per cell]
Sb 0.0000 0.2421 0.7664 [6 per cell]
Sb 0.3333 0.6667 0.0000 [2 per cell]
Sb 0.3333 0.6667 0.5000 [2 per cell]
Ru 0.0000 0.0000 0.5000 [1 per cell]

***

5.
Computed powder diffraction line list of Pu5ScRu6 for λ = 1.5418 Å (Cu Kα), from a crystal structure in Alexandria, relaxed with PBE.

Largest 6 diffraction maxima, by angle, 2θ from 15° to 90°:
2.406 Å, 37.4 deg, I 26, hkl 0 6 0; 2.370 Å, 38.0 deg, I 100, hkl 1 3 2; 2.328 Å, 38.7 deg, I 24, hkl 2 0 0; 1.673 Å, 54.9 deg, I 17, hkl 2 6 0; 1.382 Å, 67.8 deg, I 18, hkl 1 9 2; 1.352 Å, 69.5 deg, I 17, hkl 3 3 2

abc: 4.6552 14.4353 6.7178
angles: 90.00 90.00 90.00
Space group Cmmm (No. 65)
Unique sites:
Pu 0.0000 0.0000 0.0000 [2 per cell]
Pu 0.0000 0.3352 0.0000 [4 per cell]
Pu 0.0000 0.3357 0.5000 [4 per cell]
Sc 0.0000 0.0000 0.5000 [2 per cell]
Ru 0.0000 0.1667 0.2567 [8 per cell]
Ru 0.0000 0.5000 0.2541 [4 per cell]

***

6.
Computed powder diffraction line list of Pu2ScRu3 for λ = 1.5418 Å (Cu Kα), from a crystal structure in Alexandria, relaxed with PBE.

Largest 6 diffraction maxima, by angle, 2θ from 15° to 90°:
2.763 Å, 32.4 deg, I 13, hkl 1 0 2; 2.357 Å, 38.2 deg, I 100, hkl 1 0 3; 2.333 Å, 38.6 deg, I 49, hkl 1 1 0; 1.650 Å, 55.7 deg, I 17, hkl 2 0 0; 1.366 Å, 68.7 deg, I 17, hkl 1 1 6; 1.352 Å, 69.6 deg, I 34, hkl 2 1 3

abc: 3.2991 3.2991 10.1085
angles: 90.00 90.00 90.00
Space group P4/mmm (No. 123)
Unique sites:
Pu 0.0000 0.0000 0.1726 [2 per cell]
Sc 0.0000 0.0000 0.5000 [1 per cell]
Ru 0.5000 0.5000 0.0000 [1 per cell]
Ru 0.5000 0.5000 0.3396 [2 per cell]